No. 1
LiCrAsCO7: calculated PXRD pattern (λ = 1.5418 Å (Cu Kα)), based on a crystal structure in Alexandria, relaxed with PBE+U.
Peak positions follow from Bragg's law for the DFT cell and can differ from measured ones.

Largest 10 diffraction maxima, most intense first, 2θ = 5–70°:
- d 8.994, 2θ = 9.83°, I 100
- d 3.207, 2θ = 27.82°, I 38
- d 3.685, 2θ = 24.15°, I 36
- d 4.733, 2θ = 18.75°, I 32
- d 3.549, 2θ = 25.09°, I 26
- d 4.503, 2θ = 19.71°, I 25
- d 2.687, 2θ = 33.35°, I 18
- d 5.222, 2θ = 16.98°, I 15
- d 2.377, 2θ = 37.85°, I 15
- d 2.613, 2θ = 34.31°, I 14

Structural model:
Lattice parameters (Å, degrees): 5.384 6.413 9.008 90.00 93.23 90.00
Sites, in units of the cell vectors:
Li 0.248 0.000 0.337
Li 0.752 0.500 0.663
Cr 0.201 0.666 0.833
Cr 0.799 0.166 0.167
As 0.286 0.163 0.934
As 0.714 0.663 0.066
C 0.265 0.692 0.569
C 0.735 0.192 0.431
O 0.045 0.671 0.626
O 0.130 0.153 0.096
O 0.205 0.368 0.819
O 0.207 0.957 0.818
O 0.302 0.740 0.440
O 0.400 0.666 0.023
O 0.445 0.664 0.676
O 0.555 0.164 0.324
O 0.600 0.166 0.977
O 0.698 0.240 0.560
O 0.793 0.457 0.182
O 0.795 0.868 0.181
O 0.870 0.653 0.904
O 0.955 0.171 0.374

***

No. 2
NaCrAsCO7: calculated PXRD pattern (λ = 1.5418 Å (Cu Kα)), based on a crystal structure in Alexandria, relaxed with PBE+U.
Peak positions follow from Bragg's law for the DFT cell and can differ from measured ones.

Largest 10 diffraction maxima, most intense first, 2θ = 5–70°:
- d 9.405, 2θ = 9.40°, I 100
- d 3.229, 2θ = 27.63°, I 28
- d 3.580, 2θ = 24.87°, I 28
- d 3.764, 2θ = 23.64°, I 23
- d 4.717, 2θ = 18.81°, I 18
- d 4.632, 2θ = 19.16°, I 18
- d 5.323, 2θ = 16.65°, I 17
- d 2.663, 2θ = 33.66°, I 16
- d 1.691, 2θ = 54.26°, I 14
- d 3.807, 2θ = 23.37°, I 14

Structural model:
Lattice parameters (Å, degrees): 5.387 6.457 9.407 90.00 91.22 90.00
Sites, in units of the cell vectors:
Na 0.202 0.000 0.303
Na 0.798 0.500 0.697
Cr 0.217 0.778 0.838
Cr 0.783 0.278 0.162
As 0.284 0.272 0.937
As 0.716 0.772 0.063
C 0.312 0.767 0.590
C 0.688 0.267 0.410
O 0.084 0.771 0.638
O 0.118 0.261 0.090
O 0.196 0.473 0.829
O 0.212 0.066 0.825
O 0.374 0.779 0.465
O 0.404 0.782 0.024
O 0.476 0.752 0.701
O 0.524 0.252 0.299
O 0.596 0.282 0.976
O 0.626 0.279 0.535
O 0.788 0.566 0.175
O 0.804 0.973 0.171
O 0.882 0.761 0.910
O 0.916 0.271 0.362